Starting from a crystal structure in Alexandria, relaxed with GGA-PBE, the powder X-ray diffraction pattern of Er7PdRh4 was calculated for a wavelength of 1.5418 Å.
No peak broadening, texture or thermal motion is included.

Top 12 peaks for 15° ≤ 2θ ≤ 90°, in order of falling intensity:
| 2θ/deg | I (rel.) | h k l |
| --- | --- | --- |
| 36.84 | 1000 | 3 1 1 |
| 34.72 | 924 | 0 2 0 |
| 38.46 | 862 | 5 1 -3 |
| 38.75 | 407 | 2 0 -4 |
| 26.97 | 406 | 4 0 -1 |
| 25.78 | 371 | 1 1 -2 |
| 52.99 | 329 | 2 2 -4 |
| 32.88 | 265 | 3 1 -3 |
| 44.50 | 238 | 4 2 -1 |
| 67.24 | 228 | 8 2 -2 |
| 55.60 | 218 | 8 0 -2 |
| 63.63 | 203 | 3 3 1 |

Crystal structure
abc: 13.7905 5.1677 9.7061
angles: 90.00 126.41 90.00
Space group C2/m (No. 12)
Symmetry-distinct sites (fractional):
Er 0.0000 0.0000 0.0000 x2
Er 0.0762 0.5000 0.3411 x4
Er 0.1681 0.0000 0.6158 x4
Er 0.2120 0.5000 0.8730 x4
Pd 0.0000 0.5000 0.0000 x2
Rh 0.0677 0.0000 0.7804 x4
Rh 0.2086 0.0000 0.3486 x4